Record 1
This entry pairs a crystal structure of Li4Cr7P6O24 with its simulated powder X-ray diffraction pattern. Radiation: Cu Kα (λ = 1.5418 Å). Structure: the PBE+U geometry in the Materials Project.
No peak broadening, texture or thermal motion is included.

Main lines, sorted by position (2θ = 5–70°):
Position (°2θ)	I/Imax	h k l
12.7	30	0 2 0
14.1	100	0 0 1
19.0	15	0 2 1
20.6	20	1 3 0
23.9	29	1 3 -1
30.3	76	3 3 0
31.2	38	4 0 -1
33.0	14	1 5 0
33.7	49	1 3 -2
36.0	17	3 3 1

Cell: 11.7478 13.9921 6.4855 Å, 90.00 103.90 90.00°
Space group Cm (No. 8)
Inequivalent atoms, fractional coordinates:
Li1 0.0000 0.0000 0.0000 x2
Li2 0.1673 0.3741 0.9468 x4
Li3 0.2964 0.0000 0.9483 x2
Cr1 0.0645 0.1780 0.6758 x4
Cr2 0.2350 0.3758 0.5053 x4
Cr3 0.2444 0.0000 0.4885 x2
Cr4 0.4030 0.1913 0.3133 x4
P1 0.0488 0.5000 0.5915 x2
P2 0.1317 0.1867 0.1955 x4
P3 0.3231 0.1919 0.7786 x4
P4 0.4033 0.5000 0.4352 x2
O1 0.0513 0.2005 0.3535 x4
O2 0.0602 0.1425 0.9845 x4
O3 0.0620 0.4088 0.4573 x4
O4 0.1527 0.5000 0.7964 x2
O5 0.1913 0.2833 0.1735 x4
O6 0.2271 0.2746 0.7462 x4
O7 0.2367 0.1140 0.2808 x4
O8 0.2448 0.0995 0.7273 x4
O9 0.2663 0.5000 0.3331 x2
O10 0.3993 0.1802 0.0029 x4
O11 0.4020 0.2125 0.6258 x4
O12 0.4176 0.4102 0.5850 x4
O13 0.4311 0.0000 0.6467 x2
O14 0.4793 0.5000 0.2807 x2

Record 2
This entry pairs a crystal structure of Li2Cr3P4O14 with its simulated powder X-ray diffraction pattern. Radiation: Cu Kα (λ = 1.5418 Å). Structure: the PBE+U geometry in the Materials Project.
No peak broadening, texture or thermal motion is included.

Main lines, sorted by position (2θ = 5–70°):
Position (°2θ)	I/Imax	h k l
5.3	100	0 0 1
17.3	14	0 1 -2
22.0	28	1 0 -3
25.1	53	1 0 3
25.8	22	1 0 -4
29.3	65	1 -2 1
29.3	62	1 0 4
30.0	32	1 0 -5
31.6	20	1 1 -4
43.4	16	0 0 8

Cell: 5.4409 6.4702 16.8421 Å, 92.29 96.22 108.33°
Space group P-1 (No. 2)
Inequivalent atoms, fractional coordinates:
Li1 0.0547 0.1961 0.3901 x2
Li2 0.4074 0.6877 0.4946 x2
Cr1 0.0850 0.5252 0.8334 x2
Cr2 0.2588 0.2205 0.0824 x2
Cr3 0.3608 0.8797 0.3185 x2
P1 0.1250 0.2584 0.5730 x2
P2 0.1966 0.0668 0.8210 x2
P3 0.3497 0.7296 0.0478 x2
P4 0.4865 0.4162 0.2989 x2
O1 0.0182 0.2007 0.7960 x2
O2 0.0352 0.8380 0.8440 x2
O3 0.1716 0.8042 0.4255 x2
O4 0.1988 0.5249 0.0886 x2
O5 0.2196 0.3589 0.4954 x2
O6 0.2198 0.9032 0.0520 x2
O7 0.2292 0.0707 0.5918 x2
O8 0.2439 0.4609 0.6416 x2
O9 0.3008 0.5499 0.3011 x2
O10 0.3586 0.1902 0.9050 x2
O11 0.3636 0.2003 0.3373 x2
O12 0.3780 0.0438 0.7625 x2
O13 0.3932 0.6656 0.9631 x2
O14 0.4260 0.6136 0.7822 x2

Record 3
This entry pairs a crystal structure of Li2Cr2P3O12 with its simulated powder X-ray diffraction pattern. Radiation: Cu Kα (λ = 1.5418 Å). Structure: the PBE+U geometry in the Materials Project.
No peak broadening, texture or thermal motion is included.

Main lines, sorted by position (2θ = 5–70°):
Position (°2θ)	I/Imax	h k l
14.5	100	1 1 0
20.0	98	1 0 -1
21.2	17	1 -1 0
24.3	97	1 2 2
24.5	47	2 1 2
29.2	24	0 2 2
29.4	48	2 2 0
32.0	57	1 -1 2
32.1	19	2 1 -1
32.9	14	2 -1 0

Cell: 8.3195 8.3657 8.9046 Å, 62.19 62.39 60.35°
Space group P-1 (No. 2)
Inequivalent atoms, fractional coordinates:
Li1 0.0808 0.2371 0.3652 x2
Li2 0.3309 0.5763 0.3561 x2
Cr1 0.1437 0.6477 0.0686 x2
Cr2 0.3536 0.8510 0.4499 x2
P1 0.0354 0.9635 0.2504 x2
P2 0.2477 0.4638 0.7494 x2
P3 0.4669 0.2472 0.2480 x2
O1 0.0049 0.1144 0.0763 x2
O2 0.1057 0.3813 0.7740 x2
O3 0.1323 0.7559 0.2351 x2
O4 0.1558 0.0330 0.5909 x2
O5 0.1718 0.9951 0.3014 x2
O6 0.1986 0.5041 0.9196 x2
O7 0.2131 0.6578 0.5881 x2
O8 0.2583 0.3837 0.2360 x2
O9 0.3837 0.6975 0.9301 x2
O10 0.4622 0.3294 0.7002 x2
O11 0.4862 0.2947 0.3895 x2
O12 0.4902 0.0362 0.3046 x2

Record 4
This entry pairs a crystal structure of LiCrPO4 with its simulated powder X-ray diffraction pattern. Radiation: Cu Kα (λ = 1.5418 Å). Structure: the PBE+U geometry in the Materials Project.
No peak broadening, texture or thermal motion is included.

Main lines, sorted by position (2θ = 5–70°):
Position (°2θ)	I/Imax	h k l
15.5	100	0 1 1
20.9	61	1 0 0
21.5	59	1 0 -2
22.2	58	0 2 1
22.8	58	1 1 0
34.5	69	2 0 -2
34.8	21	1 3 0
35.5	20	1 2 1
37.0	47	0 4 0
39.4	28	0 1 3

Cell: 5.2042 9.7106 8.6426 Å, 90.00 125.20 90.00°
Space group P2_1/c (No. 14)
Inequivalent atoms, fractional coordinates:
Li1 0.2285 0.1796 0.0257 x4
Cr1 0.2361 0.6130 0.9777 x4
P1 0.0772 0.5944 0.2672 x4
O1 0.0665 0.0602 0.8085 x4
O2 0.0840 0.6868 0.4144 x4
O3 0.2349 0.1126 0.4411 x4
O4 0.3570 0.6301 0.2556 x4

What did the first record say?
This entry pairs a crystal structure of Li4Cr7P6O24 with its simulated powder X-ray diffraction pattern. Radiation: Cu Kα (λ = 1.5418 Å). Structure: the PBE+U geometry in the Materials Project.
No peak broadening, texture or thermal motion is included.

Main lines, sorted by position (2θ = 5–70°):
Position (°2θ)	I/Imax	h k l
12.7	30	0 2 0
14.1	100	0 0 1
19.0	15	0 2 1
20.6	20	1 3 0
23.9	29	1 3 -1
30.3	76	3 3 0
31.2	38	4 0 -1
33.0	14	1 5 0
33.7	49	1 3 -2
36.0	17	3 3 1

Cell: 11.7478 13.9921 6.4855 Å, 90.00 103.90 90.00°
Space group Cm (No. 8)
Inequivalent atoms, fractional coordinates:
Li1 0.0000 0.0000 0.0000 x2
Li2 0.1673 0.3741 0.9468 x4
Li3 0.2964 0.0000 0.9483 x2
Cr1 0.0645 0.1780 0.6758 x4
Cr2 0.2350 0.3758 0.5053 x4
Cr3 0.2444 0.0000 0.4885 x2
Cr4 0.4030 0.1913 0.3133 x4
P1 0.0488 0.5000 0.5915 x2
P2 0.1317 0.1867 0.1955 x4
P3 0.3231 0.1919 0.7786 x4
P4 0.4033 0.5000 0.4352 x2
O1 0.0513 0.2005 0.3535 x4
O2 0.0602 0.1425 0.9845 x4
O3 0.0620 0.4088 0.4573 x4
O4 0.1527 0.5000 0.7964 x2
O5 0.1913 0.2833 0.1735 x4
O6 0.2271 0.2746 0.7462 x4
O7 0.2367 0.1140 0.2808 x4
O8 0.2448 0.0995 0.7273 x4
O9 0.2663 0.5000 0.3331 x2
O10 0.3993 0.1802 0.0029 x4
O11 0.4020 0.2125 0.6258 x4
O12 0.4176 0.4102 0.5850 x4
O13 0.4311 0.0000 0.6467 x2
O14 0.4793 0.5000 0.2807 x2